TbCoSn: theoretical powder diffraction line list (Cu Kα, 1.54184 Å), based on a structure optimized by DFT (PBE).
Kinematic intensities with the Lorentz-polarization factor, no thermal factor.

Cell and atoms:
a = 7.394 Å, b = 4.581 Å, c = 7.290 Å
α = 90.00°, β = 90.00°, γ = 90.00°
Fractional coordinates of all 12 atoms:
Tb (0.026, 0.250, 0.199)
Tb (0.474, 0.750, 0.699)
Tb (0.526, 0.250, 0.301)
Tb (0.974, 0.750, 0.801)
Co (0.150, 0.750, 0.439)
Co (0.350, 0.250, 0.939)
Co (0.650, 0.750, 0.061)
Co (0.850, 0.250, 0.561)
Sn (0.202, 0.250, 0.608)
Sn (0.298, 0.750, 0.108)
Sn (0.702, 0.250, 0.892)
Sn (0.798, 0.750, 0.392)

Principal peaks in the range 2θ from 10° to 90°, low angle first:
- 2θ = 27.3°, I = 16
- 2θ = 33.5°, I = 100
- 2θ = 33.7°, I = 51
- 2θ = 34.6°, I = 25
- 2θ = 38.6°, I = 23
- 2θ = 39.3°, I = 42
- 2θ = 42.1°, I = 39
- 2θ = 53.3°, I = 14
- 2θ = 56.3°, I = 20
- 2θ = 67.1°, I = 16


Cu9Se8: theoretical powder diffraction line list (Cu Kα, 1.54184 Å), based on a structure optimized by DFT (PBE).
Kinematic intensities with the Lorentz-polarization factor, no thermal factor.

Cell and atoms:
a = 3.870 Å, b = 3.907 Å, c = 26.269 Å
α = 85.85°, β = 89.78°, γ = 60.34°
Fractional coordinates of all 17 atoms:
Cu (0.000, 0.000, 0.000)
Cu (0.024, 0.112, 0.194)
Cu (0.147, 0.238, 0.567)
Cu (0.398, 0.488, 0.317)
Cu (0.521, 0.612, 0.689)
Cu (0.547, 0.641, 0.879)
Cu (0.675, 0.721, 0.074)
Cu (0.772, 0.863, 0.442)
Cu (0.902, 0.990, 0.813)
Se (0.057, 0.139, 0.286)
Se (0.181, 0.263, 0.658)
Se (0.334, 0.361, 0.036)
Se (0.431, 0.514, 0.409)
Se (0.560, 0.638, 0.782)
Se (0.684, 0.761, 0.164)
Se (0.806, 0.888, 0.534)
Se (0.889, 0.993, 0.910)

Principal peaks in the range 2θ from 10° to 90°, low angle first:
- 2θ = 27.1°, I = 100
- 2θ = 27.2°, I = 71
- 2θ = 28.1°, I = 78
- 2θ = 29.1°, I = 60
- 2θ = 42.9°, I = 65
- 2θ = 45.9°, I = 54
- 2θ = 46.6°, I = 53
- 2θ = 47.0°, I = 51
- 2θ = 47.1°, I = 49
- 2θ = 48.5°, I = 46


Which formula does entry 2 have? Cu9Se8